No. 1
This entry pairs a crystal structure of Rb2InGeSe4 with its simulated PXRD pattern. Radiation: Cu Kα (λ = 1.5418 Å). Structure: a cell relaxed with GGA-PBE.
Intensities are scaled so that the largest is 100.

Most intense lines, 2θ from 15° to 90°, sorted by position:
d/Å  I (rel.)
3.868  39
3.545  51
3.527  96
3.049  100
2.538  67
2.391  32
2.097  33
1.959  46
1.947  36
1.838  33

Crystal structure
Unit cell a=14.1938 b=12.5686 c=8.0452 alpha=83.97 beta=61.72 gamma=34.31
Positions (direct):
Rb 0.0571 0.0571 0.6929
Rb 0.3071 0.3071 0.9429
Rb 0.6929 0.6929 0.0571
Rb 0.9429 0.9429 0.3071
In 0.1250 0.1250 0.1250
In 0.8750 0.8750 0.8750
Ge 0.3750 0.3750 0.3750
Ge 0.6250 0.6250 0.6250
Se 0.0267 0.3374 0.4234
Se 0.2874 0.5766 0.6626
Se 0.3374 0.0267 0.7126
Se 0.4234 0.7126 0.0267
Se 0.5766 0.2874 0.9733
Se 0.6626 0.9733 0.2874
Se 0.7126 0.4234 0.3374
Se 0.9733 0.6626 0.5766

---

No. 2
This entry pairs a crystal structure of Rb2In4SnGe3 with its simulated PXRD pattern. Radiation: Cu Kα (λ = 1.5418 Å). Structure: a cell relaxed with GGA-PBE.
Intensities are scaled so that the largest is 100.

Most intense lines, 2θ from 15° to 90°, sorted by position:
d/Å  I (rel.)
5.675  11
3.036  100
2.542  53
2.227  32
2.073  13
1.949  17
1.797  18
1.607  12
1.547  22
1.399  14

Crystal structure
Unit cell a=5.0841 b=5.0841 c=11.3505 alpha=90.00 beta=90.00 gamma=90.00
Positions (direct):
Rb 0.0000 0.5000 0.2493
Rb 0.5000 0.0000 0.7507
In 0.0000 0.0000 0.0000
In 0.0000 0.5000 0.6337
In 0.5000 0.0000 0.3663
In 0.5000 0.5000 0.0000
Sn 0.0000 0.0000 0.5000
Ge 0.0000 0.5000 0.8774
Ge 0.5000 0.0000 0.1226
Ge 0.5000 0.5000 0.5000